The following is a theoretical X-ray powder pattern of Ta4GeN. It was derived from a GGA-PBE-relaxed structure, using Cu Kα (λ = 1.5418 Å).

The 8 most intense peaks (2θ from 10° to 80°), by angle:
33.86 deg, intensity 33; 34.11 deg, intensity 100; 38.00 deg, intensity 37; 45.51 deg, intensity 15; 45.76 deg, intensity 15; 48.63 deg, intensity 16; 57.91 deg, intensity 24; 60.74 deg, intensity 13

Structure:
Lattice parameters (Å, degrees): 6.4544 6.4544 6.4544 109.08 109.08 110.25
Sites, in units of the cell vectors:
Ta (0.1806, 0.0000, 0.1806)
Ta (0.1818, 0.4665, 0.2847)
Ta (0.1818, 0.8972, 0.7153)
Ta (0.2165, 0.4318, 0.7847)
Ta (0.6472, 0.4318, 0.2153)
Ta (0.7500, 0.0694, 0.3194)
Ta (0.7500, 0.4306, 0.6806)
Ta (0.8194, 0.0000, 0.8194)
Ge (0.4482, 0.9482, 0.5000)
Ge (0.6982, 0.6982, 0.0000)
N (0.2380, 0.2380, 0.0000)
N (0.9880, 0.4880, 0.5000)

The following is a theoretical X-ray powder pattern of TbScGa3. It was derived from a GGA-PBE-relaxed structure, using Cu Kα (λ = 1.5418 Å).

The 8 most intense peaks (2θ from 10° to 80°), by angle:
28.47 deg, intensity 21; 32.92 deg, intensity 100; 33.51 deg, intensity 40; 35.97 deg, intensity 24; 42.15 deg, intensity 44; 43.88 deg, intensity 23; 45.17 deg, intensity 21; 63.49 deg, intensity 25

Structure:
Lattice parameters (Å, degrees): 12.7066 12.7066 4.1267 90.00 90.00 161.82
Sites, in units of the cell vectors:
Tb (0.0751, 0.9249, 0.7500)
Tb (0.9249, 0.0751, 0.2500)
Sc (0.2055, 0.7945, 0.2500)
Sc (0.7945, 0.2055, 0.7500)
Ga (0.3184, 0.6816, 0.2500)
Ga (0.3766, 0.6234, 0.7500)
Ga (0.4748, 0.5252, 0.7500)
Ga (0.5252, 0.4748, 0.2500)
Ga (0.6234, 0.3766, 0.2500)
Ga (0.6816, 0.3184, 0.7500)

The following is a theoretical X-ray powder pattern of SrPmCl5. It was derived from a GGA-PBE-relaxed structure, using Cu Kα (λ = 1.5418 Å).

The 8 most intense peaks (2θ from 10° to 80°), by angle:
14.49 deg, intensity 43; 18.32 deg, intensity 100; 19.53 deg, intensity 50; 19.76 deg, intensity 40; 32.72 deg, intensity 34; 35.14 deg, intensity 27; 37.03 deg, intensity 30; 39.65 deg, intensity 24

Structure:
Lattice parameters (Å, degrees): 7.2441 13.7349 10.2197 90.00 109.52 90.00
Sites, in units of the cell vectors:
Sr (0.0339, 0.0181, 0.2560)
Sr (0.0339, 0.4819, 0.7560)
Sr (0.9661, 0.5181, 0.2440)
Sr (0.9661, 0.9819, 0.7440)
Pm (0.3950, 0.2436, 0.6031)
Pm (0.3950, 0.2564, 0.1031)
Pm (0.6050, 0.7436, 0.8969)
Pm (0.6050, 0.7564, 0.3969)
Cl (0.0782, 0.1175, 0.5554)
Cl (0.0782, 0.3825, 0.0554)
Cl (0.1423, 0.1049, 0.9930)
Cl (0.1423, 0.3951, 0.4930)
Cl (0.2878, 0.6493, 0.3634)
Cl (0.2878, 0.8507, 0.8634)
Cl (0.3453, 0.1802, 0.3381)
Cl (0.3453, 0.3198, 0.8381)
Cl (0.3881, 0.5893, 0.7844)
Cl (0.3881, 0.9107, 0.2844)
Cl (0.6119, 0.0893, 0.7156)
Cl (0.6119, 0.4107, 0.2156)
Cl (0.6547, 0.6802, 0.1619)
Cl (0.6547, 0.8198, 0.6619)
Cl (0.7122, 0.1493, 0.1366)
Cl (0.7122, 0.3507, 0.6366)
Cl (0.8577, 0.6049, 0.5070)
Cl (0.8577, 0.8951, 0.0070)
Cl (0.9218, 0.6175, 0.9446)
Cl (0.9218, 0.8825, 0.4446)

The following is a theoretical X-ray powder pattern of Sc10Ga3Sb3. It was derived from a GGA-PBE-relaxed structure, using Cu Kα (λ = 1.5418 Å).

The 8 most intense peaks (2θ from 10° to 80°), by angle:
26.24 deg, intensity 44; 29.78 deg, intensity 34; 36.53 deg, intensity 100; 37.07 deg, intensity 66; 37.83 deg, intensity 37; 48.44 deg, intensity 31; 57.35 deg, intensity 25; 73.50 deg, intensity 21

Structure:
Lattice parameters (Å, degrees): 8.2375 8.2375 6.0009 90.00 90.00 120.00
Sites, in units of the cell vectors:
Sc (0.0000, 0.2352, 0.0000)
Sc (0.0000, 0.7622, 0.5000)
Sc (0.2352, 0.0000, 0.0000)
Sc (0.2378, 0.2378, 0.5000)
Sc (0.3333, 0.6667, 0.2610)
Sc (0.3333, 0.6667, 0.7390)
Sc (0.6667, 0.3333, 0.2610)
Sc (0.6667, 0.3333, 0.7390)
Sc (0.7622, 0.0000, 0.5000)
Sc (0.7648, 0.7648, 0.0000)
Ga (0.0000, 0.3924, 0.5000)
Ga (0.3924, 0.0000, 0.5000)
Ga (0.6076, 0.6076, 0.5000)
Sb (0.0000, 0.6017, 0.0000)
Sb (0.3983, 0.3983, 0.0000)
Sb (0.6017, 0.0000, 0.0000)

The following is a theoretical X-ray powder pattern of Ac3Pr2DyTe6. It was derived from a GGA-PBE-relaxed structure, using Cu Kα (λ = 1.5418 Å).

The 8 most intense peaks (2θ from 10° to 80°), by angle:
27.41 deg, intensity 100; 38.81 deg, intensity 13; 39.07 deg, intensity 25; 39.23 deg, intensity 26; 39.47 deg, intensity 13; 48.72 deg, intensity 14; 63.86 deg, intensity 11; 64.09 deg, intensity 12

Structure:
Lattice parameters (Å, degrees): 10.3009 10.3009 9.2815 103.32 103.32 25.61
Sites, in units of the cell vectors:
Ac (0.0000, 0.0000, 0.0000)
Ac (0.3292, 0.3292, 0.6655)
Ac (0.6708, 0.6708, 0.3345)
Pr (0.3317, 0.3317, 0.1651)
Pr (0.6683, 0.6683, 0.8349)
Dy (0.0000, 0.0000, 0.5000)
Te (0.1582, 0.1582, 0.5868)
Te (0.1684, 0.1684, 0.0761)
Te (0.4988, 0.4988, 0.2674)
Te (0.5012, 0.5012, 0.7326)
Te (0.8316, 0.8316, 0.9239)
Te (0.8418, 0.8418, 0.4132)

The following is a theoretical X-ray powder pattern of LiTi2Zn2P2O10. It was derived from a GGA-PBE-relaxed structure, using Cu Kα (λ = 1.5418 Å).

The 8 most intense peaks (2θ from 10° to 80°), by angle:
16.88 deg, intensity 26; 17.32 deg, intensity 60; 26.09 deg, intensity 38; 26.75 deg, intensity 100; 32.60 deg, intensity 32; 35.95 deg, intensity 59; 36.55 deg, intensity 32; 41.54 deg, intensity 27

Structure:
Lattice parameters (Å, degrees): 5.4998 5.5658 7.4248 107.26 109.62 92.16
Sites, in units of the cell vectors:
Li (0.0000, 0.0000, 0.0000)
Ti (0.5000, 0.0000, 0.0000)
Ti (0.5000, 0.0000, 0.5000)
Zn (0.3492, 0.4267, 0.2664)
Zn (0.6508, 0.5733, 0.7336)
P (0.1462, 0.3948, 0.7692)
P (0.8538, 0.6052, 0.2308)
O (0.1513, 0.6972, 0.3614)
O (0.1818, 0.6874, 0.8599)
O (0.2244, 0.2670, 0.9377)
O (0.3202, 0.3161, 0.6387)
O (0.3929, 0.0810, 0.2443)
O (0.6071, 0.9190, 0.7557)
O (0.6798, 0.6839, 0.3613)
O (0.7756, 0.7330, 0.0623)
O (0.8182, 0.3126, 0.1401)
O (0.8487, 0.3028, 0.6385)

The following is a theoretical X-ray powder pattern of Tl2Sn2S3. It was derived from a GGA-PBE-relaxed structure, using Cu Kα (λ = 1.5418 Å).

The 8 most intense peaks (2θ from 10° to 80°), by angle:
22.42 deg, intensity 72; 25.34 deg, intensity 56; 25.49 deg, intensity 41; 27.25 deg, intensity 100; 33.17 deg, intensity 74; 34.05 deg, intensity 43; 37.05 deg, intensity 58; 43.95 deg, intensity 33

Structure:
Lattice parameters (Å, degrees): 7.1443 7.3958 9.7749 90.00 125.77 90.00
Sites, in units of the cell vectors:
Tl (0.1807, 0.1657, 0.4365)
Tl (0.1807, 0.3343, 0.9365)
Tl (0.8193, 0.6657, 0.0635)
Tl (0.8193, 0.8343, 0.5635)
Sn (0.3287, 0.6841, 0.5198)
Sn (0.3287, 0.8159, 0.0198)
Sn (0.6713, 0.1841, 0.9802)
Sn (0.6713, 0.3159, 0.4802)
S (0.0000, 0.0000, 0.0000)
S (0.0000, 0.5000, 0.5000)
S (0.3303, 0.5238, 0.2708)
S (0.3303, 0.9762, 0.7708)
S (0.6697, 0.0238, 0.2292)
S (0.6697, 0.4762, 0.7292)

The following is a theoretical X-ray powder pattern of K3RbHg4I12. It was derived from a GGA-PBE-relaxed structure, using Cu Kα (λ = 1.5418 Å).

The 8 most intense peaks (2θ from 10° to 80°), by angle:
13.59 deg, intensity 46; 17.16 deg, intensity 54; 17.43 deg, intensity 74; 18.87 deg, intensity 100; 28.06 deg, intensity 28; 34.59 deg, intensity 34; 38.27 deg, intensity 38; 43.61 deg, intensity 28

Structure:
Lattice parameters (Å, degrees): 10.8637 10.8637 10.8637 102.64 102.64 102.64
Sites, in units of the cell vectors:
K (0.0000, 0.5376, 0.4624)
K (0.4624, 0.0000, 0.5376)
K (0.5376, 0.4624, 0.0000)
Rb (0.0000, 0.0000, 0.0000)
Hg (0.0505, 0.5000, 0.9495)
Hg (0.5000, 0.5000, 0.5000)
Hg (0.5000, 0.9495, 0.0505)
Hg (0.9495, 0.0505, 0.5000)
I (0.0506, 0.6777, 0.8031)
I (0.1129, 0.8870, 0.5000)
I (0.1969, 0.3223, 0.9494)
I (0.3223, 0.9494, 0.1969)
I (0.3380, 0.6620, 0.5000)
I (0.5000, 0.1129, 0.8871)
I (0.5000, 0.3380, 0.6620)
I (0.6620, 0.5000, 0.3380)
I (0.6777, 0.8031, 0.0506)
I (0.8031, 0.0506, 0.6777)
I (0.8871, 0.5000, 0.1129)
I (0.9494, 0.1969, 0.3223)

Q: What is the formula in the first record?
A: Ta4GeN